[1]
The following is a calculated X-ray diffraction stick pattern of Er2SiSeO4. It was derived from DFT lattice parameters and positions (GGA-PBE), using λ = 1.5418 Å (Cu Kα).

Top 10 peaks for 2θ = 10–90°, in order of rising 2θ:
21.40°, 4.151 Å, I = 486; 22.33°, 3.982 Å, I = 468; 25.87°, 3.444 Å, I = 439; 30.02°, 2.977 Å, I = 333; 30.96°, 2.889 Å, I = 1000; 33.53°, 2.673 Å, I = 695; 33.80°, 2.652 Å, I = 627; 36.89°, 2.437 Å, I = 543; 41.61°, 2.171 Å, I = 376; 45.62°, 1.989 Å, I = 378

Crystal structure
Cell lengths 5.9688, 6.8668, 10.6905 Å; angles 90.00, 90.00, 90.00 degrees
Atoms (fractional coordinates):
Er 0.1082 0.2500 0.0000
Er 0.1082 0.2500 0.5000
Er 0.3670 0.5273 0.2500
Er 0.3670 0.9727 0.7500
Er 0.6330 0.0273 0.2500
Er 0.6330 0.4727 0.7500
Er 0.8918 0.7500 0.0000
Er 0.8918 0.7500 0.5000
Si 0.3867 0.7500 0.0000
Si 0.3867 0.7500 0.5000
Si 0.6133 0.2500 0.0000
Si 0.6133 0.2500 0.5000
Se 0.0758 0.6275 0.7500
Se 0.0758 0.8725 0.2500
Se 0.9242 0.1275 0.7500
Se 0.9242 0.3725 0.2500
O 0.2215 0.5665 0.0320
O 0.2215 0.5665 0.4680
O 0.2215 0.9335 0.5320
O 0.2215 0.9335 0.9680
O 0.4447 0.2417 0.6220
O 0.4447 0.2417 0.8780
O 0.4447 0.2583 0.1220
O 0.4447 0.2583 0.3780
O 0.5553 0.7417 0.6220
O 0.5553 0.7417 0.8780
O 0.5553 0.7583 0.1220
O 0.5553 0.7583 0.3780
O 0.7785 0.0665 0.0320
O 0.7785 0.0665 0.4680
O 0.7785 0.4335 0.5320
O 0.7785 0.4335 0.9680

***

[2]
The following is a calculated X-ray diffraction stick pattern of Er2SiTeO4. It was derived from DFT lattice parameters and positions (GGA-PBE), using λ = 1.5418 Å (Cu Kα).

Top 10 peaks for 2θ = 10–90°, in order of rising 2θ:
21.89°, 4.061 Å, I = 278; 25.44°, 3.501 Å, I = 415; 30.62°, 2.920 Å, I = 1000; 30.90°, 2.894 Å, I = 274; 32.76°, 2.734 Å, I = 678; 33.29°, 2.691 Å, I = 741; 36.29°, 2.476 Å, I = 455; 40.86°, 2.209 Å, I = 441; 44.85°, 2.021 Å, I = 241; 60.81°, 1.523 Å, I = 223

Crystal structure
Cell lengths 6.0649, 6.9068, 10.9350 Å; angles 90.00, 90.00, 90.00 degrees
Atoms (fractional coordinates):
Er 0.1110 0.0293 0.2500
Er 0.1110 0.4707 0.7500
Er 0.3886 0.7500 0.0000
Er 0.3886 0.7500 0.5000
Er 0.6114 0.2500 0.0000
Er 0.6114 0.2500 0.5000
Er 0.8890 0.5293 0.2500
Er 0.8890 0.9707 0.7500
Si 0.1141 0.2500 0.0000
Si 0.1141 0.2500 0.5000
Si 0.8859 0.7500 0.0000
Si 0.8859 0.7500 0.5000
Te 0.4064 0.0983 0.7500
Te 0.4064 0.4017 0.2500
Te 0.5936 0.5983 0.7500
Te 0.5936 0.9017 0.2500
O 0.0555 0.7386 0.6190
O 0.0555 0.7386 0.8810
O 0.0555 0.7614 0.1190
O 0.0555 0.7614 0.3810
O 0.2762 0.0679 0.0336
O 0.2762 0.0679 0.4664
O 0.2762 0.4321 0.5336
O 0.2762 0.4321 0.9664
O 0.7238 0.5679 0.0336
O 0.7238 0.5679 0.4664
O 0.7238 0.9321 0.5336
O 0.7238 0.9321 0.9664
O 0.9445 0.2386 0.6190
O 0.9445 0.2386 0.8810
O 0.9445 0.2614 0.1190
O 0.9445 0.2614 0.3810

***

[3]
The following is a calculated X-ray diffraction stick pattern of SmErTeO2. It was derived from DFT lattice parameters and positions (GGA-PBE), using λ = 1.5418 Å (Cu Kα).

Top 10 peaks for 2θ = 10–90°, in order of rising 2θ:
31.24°, 2.864 Å, I = 1000; 32.16°, 2.784 Å, I = 396; 43.37°, 2.086 Å, I = 86; 46.12°, 1.968 Å, I = 196; 55.00°, 1.670 Å, I = 224; 56.75°, 1.622 Å, I = 368; 65.16°, 1.432 Å, I = 106; 72.00°, 1.311 Å, I = 85; 76.03°, 1.252 Å, I = 79; 89.88°, 1.091 Å, I = 100

Crystal structure
Cell lengths 3.9367, 3.9367, 12.5186 Å; angles 90.00, 90.00, 90.00 degrees
Atoms (fractional coordinates):
Sm 0.0000 0.0000 0.0000
Sm 0.5000 0.5000 0.5000
Er 0.0000 0.0000 0.6771
Er 0.5000 0.5000 0.1771
Te 0.0000 0.0000 0.3398
Te 0.5000 0.5000 0.8398
O 0.0000 0.5000 0.0952
O 0.0000 0.5000 0.5952
O 0.5000 0.0000 0.0952
O 0.5000 0.0000 0.5952

***

[4]
The following is a calculated X-ray diffraction stick pattern of Sr3Er4O9. It was derived from DFT lattice parameters and positions (GGA-PBE), using λ = 1.5418 Å (Cu Kα).

Top 10 peaks for 2θ = 10–90°, in order of rising 2θ:
18.77°, 4.727 Å, I = 373; 30.30°, 2.950 Å, I = 1000; 30.62°, 2.919 Å, I = 825; 43.62°, 2.075 Å, I = 412; 44.92°, 2.018 Å, I = 339; 53.83°, 1.703 Å, I = 260; 54.03°, 1.697 Å, I = 389; 63.03°, 1.475 Å, I = 144; 71.69°, 1.316 Å, I = 152; 87.49°, 1.115 Å, I = 116

Crystal structure
Cell lengths 8.9720, 8.9720, 8.9720 Å; angles 38.39, 38.39, 38.39 degrees
Atoms (fractional coordinates):
Sr 0.0000 0.0000 0.0000
Sr 0.1736 0.1736 0.1736
Sr 0.5790 0.5790 0.5790
Er 0.3057 0.3057 0.3057
Er 0.4313 0.4313 0.4313
Er 0.7426 0.7426 0.7426
Er 0.8692 0.8692 0.8692
O 0.0495 0.4248 0.6226
O 0.1328 0.5587 0.7429
O 0.1775 0.9983 0.5860
O 0.4248 0.6226 0.0495
O 0.5587 0.7429 0.1328
O 0.5860 0.1775 0.9983
O 0.6226 0.0495 0.4248
O 0.7429 0.1328 0.5587
O 0.9983 0.5860 0.1775

***

[5]
The following is a calculated X-ray diffraction stick pattern of Tb2ErO3. It was derived from DFT lattice parameters and positions (GGA-PBE), using λ = 1.5418 Å (Cu Kα).

Top 10 peaks for 2θ = 10–90°, in order of rising 2θ:
28.02°, 3.184 Å, I = 1000; 32.47°, 2.757 Å, I = 793; 46.58°, 1.950 Å, I = 571; 55.23°, 1.663 Å, I = 362; 55.29°, 1.662 Å, I = 120; 57.96°, 1.591 Å, I = 147; 75.02°, 1.266 Å, I = 100; 77.33°, 1.234 Å, I = 123; 77.45°, 1.232 Å, I = 123; 86.50°, 1.125 Å, I = 142

Crystal structure
Cell lengths 3.8963, 3.8963, 9.5676 Å; angles 90.00, 90.00, 120.00 degrees
Atoms (fractional coordinates):
Tb 0.3333 0.6667 0.1670
Tb 0.6667 0.3333 0.8330
Er 0.0000 0.0000 0.5000
O 0.0000 0.0000 0.0000
O 0.3333 0.6667 0.6623
O 0.6667 0.3333 0.3377

***

[6]
The following is a calculated X-ray diffraction stick pattern of Er2Te4O11. It was derived from DFT lattice parameters and positions (GGA-PBE), using λ = 1.5418 Å (Cu Kα).

Top 10 peaks for 2θ = 10–90°, in order of rising 2θ:
27.43°, 3.252 Å, I = 1000; 30.18°, 2.961 Å, I = 696; 30.38°, 2.942 Å, I = 327; 34.29°, 2.615 Å, I = 214; 35.40°, 2.536 Å, I = 188; 42.68°, 2.119 Å, I = 150; 47.33°, 1.921 Å, I = 232; 50.08°, 1.822 Å, I = 294; 50.50°, 1.807 Å, I = 177; 60.39°, 1.533 Å, I = 216

Crystal structure
Cell lengths 6.6429, 6.6429, 15.8691 Å; angles 105.30, 105.30, 44.88 degrees
Atoms (fractional coordinates):
Er 0.1281 0.6331 0.9635
Er 0.3669 0.8719 0.5365
Er 0.6331 0.1281 0.4635
Er 0.8719 0.3669 0.0365
Te 0.0941 0.6605 0.6293
Te 0.0954 0.6521 0.2978
Te 0.3395 0.9059 0.8707
Te 0.3479 0.9046 0.2023
Te 0.6521 0.0954 0.7978
Te 0.6605 0.0941 0.1293
Te 0.9046 0.3479 0.7022
Te 0.9059 0.3395 0.3707
O 0.0536 0.8985 0.4040
O 0.1015 0.9464 0.0960
O 0.1611 0.2543 0.9463
O 0.1876 0.3103 0.6303
O 0.2543 0.1611 0.4463
O 0.2829 0.4125 0.8299
O 0.3103 0.1876 0.1303
O 0.3257 0.5385 0.5450
O 0.3628 0.6372 0.2500
O 0.4125 0.2829 0.3299
O 0.4615 0.6743 0.9550
O 0.5385 0.3257 0.0450
O 0.5875 0.7171 0.6701
O 0.6372 0.3628 0.7500
O 0.6743 0.4615 0.4550
O 0.6897 0.8124 0.8697
O 0.7171 0.5875 0.1701
O 0.7457 0.8389 0.5537
O 0.8124 0.6897 0.3697
O 0.8389 0.7457 0.0537
O 0.8985 0.0536 0.9040
O 0.9464 0.1015 0.5960

***

[7]
The following is a calculated X-ray diffraction stick pattern of ErTe2O4. It was derived from DFT lattice parameters and positions (GGA-PBE), using λ = 1.5418 Å (Cu Kα).

Top 10 peaks for 2θ = 10–90°, in order of rising 2θ:
26.38°, 3.379 Å, I = 264; 27.35°, 3.261 Å, I = 277; 31.25°, 2.862 Å, I = 1000; 32.91°, 2.722 Å, I = 669; 33.27°, 2.693 Å, I = 491; 47.16°, 1.927 Å, I = 225; 49.71°, 1.834 Å, I = 374; 50.85°, 1.796 Å, I = 211; 54.30°, 1.689 Å, I = 212; 56.44°, 1.630 Å, I = 295

Crystal structure
Cell lengths 6.5365, 6.5365, 6.5365 Å; angles 117.75, 117.75, 93.95 degrees
Atoms (fractional coordinates):
Er 0.3750 0.6250 0.7500
Er 0.6250 0.3750 0.2500
Te 0.0000 0.0000 0.0000
Te 0.0000 0.0000 0.5000
Te 0.0000 0.5000 0.0000
Te 0.5000 0.0000 0.5000
O 0.0762 0.6476 0.4286
O 0.2810 0.3524 0.9286
O 0.3524 0.2810 0.4286
O 0.3524 0.9238 0.0714
O 0.6476 0.0762 0.9286
O 0.6476 0.7190 0.5714
O 0.7190 0.6476 0.0714
O 0.9238 0.3524 0.5714

***

[8]
The following is a calculated X-ray diffraction stick pattern of Er2Te5O13. It was derived from DFT lattice parameters and positions (GGA-PBE), using λ = 1.5418 Å (Cu Kα).

Top 10 peaks for 2θ = 10–90°, in order of rising 2θ:
27.70°, 3.221 Å, I = 854; 28.00°, 3.186 Å, I = 932; 28.11°, 3.174 Å, I = 1000; 28.32°, 3.151 Å, I = 837; 31.27°, 2.861 Å, I = 591; 32.87°, 2.725 Å, I = 488; 33.28°, 2.692 Å, I = 427; 45.52°, 1.993 Å, I = 240; 45.97°, 1.974 Å, I = 232; 46.47°, 1.954 Å, I = 257

Crystal structure
Cell lengths 6.8707, 8.5322, 10.3996 Å; angles 88.94, 86.86, 74.94 degrees
Atoms (fractional coordinates):
Er 0.0021 0.2647 0.2622
Er 0.4475 0.4700 0.3197
Er 0.5525 0.5300 0.6803
Er 0.9979 0.7353 0.7378
Te 0.1284 0.3443 0.6032
Te 0.1576 0.8038 0.1306
Te 0.2721 0.3958 0.9764
Te 0.2898 0.8843 0.4673
Te 0.4320 0.9099 0.8055
Te 0.5680 0.0901 0.1945
Te 0.7102 0.1157 0.5327
Te 0.7279 0.6042 0.0236
Te 0.8424 0.1962 0.8694
Te 0.8716 0.6557 0.3968
O 0.0408 0.3500 0.0617
O 0.0551 0.8211 0.5328
O 0.0618 0.0205 0.1852
O 0.0674 0.2655 0.7817
O 0.1242 0.4884 0.3950
O 0.2375 0.4960 0.6867
O 0.3111 0.7360 0.7912
O 0.3309 0.2215 0.2772
O 0.3336 0.7431 0.2694
O 0.3375 0.5149 0.1139
O 0.3440 0.9926 0.6234
O 0.4618 0.1893 0.0114
O 0.4683 0.6743 0.4969
O 0.5317 0.3257 0.5031
O 0.5382 0.8107 0.9886
O 0.6560 0.0074 0.3766
O 0.6625 0.4851 0.8861
O 0.6664 0.2569 0.7306
O 0.6691 0.7785 0.7228
O 0.6889 0.2640 0.2088
O 0.7625 0.5040 0.3133
O 0.8758 0.5116 0.6050
O 0.9326 0.7345 0.2183
O 0.9382 0.9795 0.8148
O 0.9449 0.1789 0.4672
O 0.9592 0.6500 0.9383